Record 1
Calculated powder diffraction line list
Compound: SrLaNi2H8
Radiation: λ = 1.5418 Å (Cu Kα)
Structure: DFT lattice parameters and positions (PBE)
Lines closer than 0.1° are merged.

Structure:
```
data_SrLaNi2H8
_space_group_name_H-M_alt 'R -3 m'
_space_group_IT_number 166
_space_group_name_Hall '-R 3 2"'
_cell_length_a 4.7320
_cell_length_b 4.7320
_cell_length_c 19.6011
_cell_angle_alpha 90.00
_cell_angle_beta 90.00
_cell_angle_gamma 120.00
loop_
_atom_site_label
_atom_site_type_symbol
_atom_site_fract_x
_atom_site_fract_y
_atom_site_fract_z
Sr1 Sr 0.0000 0.0000 0.0000
La1 La 0.0000 0.0000 0.5000
Ni1 Ni 0.0000 0.0000 0.2324
H1 H 0.0000 0.0000 0.1503
H2 H 0.0086 0.5043 0.0634
```

Principal peaks in the range 2θ from 15° to 90°, by angle:
d_spacing  2θ (°)  I/Imax  (hkl)
3.781  23.53  11.8  0 1 2
3.144  28.39  100.0  1 0 4
2.366  38.03  49.6  1 1 0
2.103  43.01  26.7  0 1 8
1.890  48.13  22.9  0 2 4
1.572  58.74  9.9  2 0 8
1.477  62.93  20.1  2 1 4
1.366  68.72  8.3  3 0 0
1.344  69.99  10.2  1 1 12
1.309  72.15  10.9  1 2 8



Record 2
Calculated powder diffraction line list
Compound: LaTcNiH6
Radiation: λ = 1.5418 Å (Cu Kα)
Structure: DFT lattice parameters and positions (PBE)
Lines closer than 0.1° are merged.

Structure:
```
data_LaTcNiH6
_space_group_name_H-M_alt 'P -6 m 2'
_space_group_IT_number 187
_space_group_name_Hall 'P -6 2'
_cell_length_a 4.6259
_cell_length_b 4.6259
_cell_length_c 4.5669
_cell_angle_alpha 90.00
_cell_angle_beta 90.00
_cell_angle_gamma 120.00
loop_
_atom_site_label
_atom_site_type_symbol
_atom_site_fract_x
_atom_site_fract_y
_atom_site_fract_z
La1 La 0.0000 0.0000 0.0000
Tc1 Tc 0.6667 0.3333 0.5000
Ni1 Ni 0.3333 0.6667 0.5000
H1 H 0.0030 0.5015 0.2505
```

Principal peaks in the range 2θ from 15° to 90°, by angle:
d_spacing  2θ (°)  I/Imax  (hkl)
4.006  22.19  7.0  1 0 0
3.012  29.66  100.0  1 0 1
2.313  38.94  43.6  1 1 0
2.283  39.46  13.5  0 0 2
1.834  49.70  23.4  2 0 1
1.625  56.64  29.3  1 1 2
1.437  64.88  20.7  2 1 1
1.423  65.60  10.0  1 0 3
1.335  70.52  7.3  3 0 0
1.153  83.94  9.2  3 0 2



Record 3
Calculated powder diffraction line list
Compound: La2HO3
Radiation: λ = 1.5418 Å (Cu Kα)
Structure: DFT lattice parameters and positions (PBE)
Lines closer than 0.1° are merged.

Structure:
```
data_La2HO3
_space_group_name_H-M_alt 'P n m a'
_space_group_IT_number 62
_cell_length_a 9.437
_cell_length_b 3.546
_cell_length_c 9.783
_cell_angle_alpha 90.00
_cell_angle_beta 90.00
_cell_angle_gamma 90.00
loop_
_space_group_symop_operation_xyz
'x,y,z'
'-x,-y,-z'
'-x+1/2,-y,z+1/2'
'x+1/2,y,-z+1/2'
'x+1/2,-y+1/2,-z+1/2'
'-x+1/2,y+1/2,z+1/2'
'-x,y+1/2,-z'
'x,-y+1/2,z'
loop_
_atom_site_label
_atom_site_type_symbol
_atom_site_fract_x
_atom_site_fract_y
_atom_site_fract_z
La1 La 0.009 0.250 0.177
La2 La 0.181 0.250 0.495
H1 H 0.209 0.750 0.201
O1 O 0.037 0.750 0.382
O2 O 0.119 0.250 0.947
O3 O 0.241 0.750 0.706
```

Principal peaks in the range 2θ from 15° to 90°, by angle:
d_spacing  2θ (°)  I/Imax  (hkl)
3.396  26.24  98.4  2 0 2
3.334  26.74  63.7  0 1 1
3.144  28.39  72.5  1 1 1
3.082  28.97  100.0  1 0 3
2.995  29.84  91.0  3 0 1
2.835  31.56  43.3  2 1 0
2.747  32.60  61.8  1 1 2
2.453  36.64  42.3  2 1 2
2.326  38.71  58.5  1 1 3
2.122  42.61  62.1  3 1 2



Record 4
Calculated powder diffraction line list
Compound: LaH2O3
Radiation: λ = 1.5418 Å (Cu Kα)
Structure: DFT lattice parameters and positions (PBE)
Lines closer than 0.1° are merged.

Structure:
```
data_LaH2O3
_space_group_name_H-M_alt 'P m c 21'
_space_group_IT_number 26
_cell_length_a 3.772
_cell_length_b 7.213
_cell_length_c 5.584
_cell_angle_alpha 90.00
_cell_angle_beta 90.00
_cell_angle_gamma 90.00
loop_
_space_group_symop_operation_xyz
'x,y,z'
'-x,-y,z+1/2'
'-x,y,z'
'x,-y,z+1/2'
loop_
_atom_site_label
_atom_site_type_symbol
_atom_site_fract_x
_atom_site_fract_y
_atom_site_fract_z
La1 La 0.000 0.234 0.000
H1 H 0.000 0.392 0.539
H2 H 0.500 0.164 0.475
O1 O 0.000 0.466 0.686
O2 O 0.500 0.136 0.763
O3 O 0.500 0.177 0.293
```

Principal peaks in the range 2θ from 15° to 90°, by angle:
d_spacing  2θ (°)  I/Imax  (hkl)
4.415  20.11  100.0  0 1 1
3.772  23.58  29.1  1 0 0
3.607  24.69  31.9  0 2 0
2.868  31.18  77.5  1 1 1
2.607  34.40  17.8  1 2 0
2.244  40.18  25.0  1 0 2
2.208  40.87  35.3  0 3 1
1.906  47.73  51.8  1 2 2
1.626  56.59  21.6  1 4 0
1.434  65.03  17.5  2 2 2



Record 5
Calculated powder diffraction line list
Compound: La2HPtO6
Radiation: λ = 1.5418 Å (Cu Kα)
Structure: DFT lattice parameters and positions (PBE)
Lines closer than 0.1° are merged.

Structure:
```
data_La2HPtO6
_space_group_name_H-M_alt 'C 1 2/m 1'
_space_group_IT_number 12
_cell_length_a 9.945
_cell_length_b 5.205
_cell_length_c 5.391
_cell_angle_alpha 90.00
_cell_angle_beta 120.15
_cell_angle_gamma 90.00
loop_
_space_group_symop_operation_xyz
'x,y,z'
'-x,-y,-z'
'-x,y,-z'
'x,-y,z'
'x+1/2,y+1/2,z'
'-x+1/2,-y+1/2,-z'
'-x+1/2,y+1/2,-z'
'x+1/2,-y+1/2,z'
loop_
_atom_site_label
_atom_site_type_symbol
_atom_site_fract_x
_atom_site_fract_y
_atom_site_fract_z
La1 La 0.239 0.000 0.224
H1 H 0.000 0.500 0.000
Pt1 Pt 0.000 0.000 0.500
O1 O 0.049 0.263 0.808
O2 O 0.233 0.000 0.657
```

Principal peaks in the range 2θ from 15° to 90°, by angle:
d_spacing  2θ (°)  I/Imax  (hkl)
4.460  19.91  99.1  1 1 0
2.869  31.18  100.0  1 1 1
2.780  32.21  89.4  3 1 -1
2.693  33.27  37.9  2 0 -2
2.603  34.46  37.9  0 2 0
2.329  38.66  27.8  1 1 -2
2.150  42.03  29.8  4 0 0
1.872  48.65  44.5  2 2 -2
1.658  55.43  22.3  4 2 0
1.555  59.43  22.4  5 1 -3



Record 6
Calculated powder diffraction line list
Compound: LaH4Os
Radiation: λ = 1.5418 Å (Cu Kα)
Structure: DFT lattice parameters and positions (PBE)
Lines closer than 0.1° are merged.

Structure:
```
data_LaH4Os
_space_group_name_H-M_alt 'A m a 2'
_space_group_IT_number 40
_cell_length_a 8.536
_cell_length_b 7.818
_cell_length_c 3.811
_cell_angle_alpha 90.00
_cell_angle_beta 90.00
_cell_angle_gamma 90.00
loop_
_space_group_symop_operation_xyz
'x,y,z'
'-x,-y,z'
'-x+1/2,y,z'
'x+1/2,-y,z'
'x,y+1/2,z+1/2'
'-x,-y+1/2,z+1/2'
'-x+1/2,y+1/2,z+1/2'
'x+1/2,-y+1/2,z+1/2'
loop_
_atom_site_label
_atom_site_type_symbol
_atom_site_fract_x
_atom_site_fract_y
_atom_site_fract_z
La1 La 0.000 0.000 0.000
H1 H 0.049 0.189 0.490
H2 H 0.250 0.182 0.992
H3 H 0.250 0.474 0.096
Os1 Os 0.250 0.183 0.482
```

Principal peaks in the range 2θ from 15° to 90°, by angle:
d_spacing  2θ (°)  I/Imax  (hkl)
3.554  25.05  45.9  1 2 0
3.179  28.07  100.0  1 1 1
2.883  31.02  90.6  2 2 0
2.672  33.54  99.6  2 1 1
2.189  41.24  35.1  3 1 1
2.151  42.00  58.9  0 3 1
2.134  42.35  31.0  4 0 0
1.905  47.73  36.4  0 0 2
1.590  58.02  30.9  2 2 2
1.515  61.17  38.8  4 3 1



Record 7
Calculated powder diffraction line list
Compound: La5P4H
Radiation: λ = 1.5418 Å (Cu Kα)
Structure: DFT lattice parameters and positions (PBE)
Lines closer than 0.1° are merged.

Structure:
```
data_La5P4H
_space_group_name_H-M_alt 'R -3 m'
_space_group_IT_number 166
_space_group_name_Hall '-R 3 2"'
_cell_length_a 4.2279
_cell_length_b 4.2279
_cell_length_c 50.5031
_cell_angle_alpha 90.00
_cell_angle_beta 90.00
_cell_angle_gamma 120.00
loop_
_atom_site_label
_atom_site_type_symbol
_atom_site_fract_x
_atom_site_fract_y
_atom_site_fract_z
La1 La 0.0000 0.0000 0.0000
La2 La 0.0000 0.0000 0.1975
La3 La 0.0000 0.0000 0.4019
P1 P 0.0000 0.0000 0.1049
P2 P 0.0000 0.0000 0.2984
H1 H 0.0000 0.0000 0.5000
```

Principal peaks in the range 2θ from 15° to 90°, by angle:
d_spacing  2θ (°)  I/Imax  (hkl)
3.442  25.88  70.2  0 1 5
3.367  26.47  21.8  0 0 15
2.964  30.15  100.0  1 0 10
2.114  42.78  38.5  1 1 0
2.079  43.54  33.6  0 1 20
1.790  51.01  22.4  1 1 15
1.721  53.22  19.7  0 2 10
1.335  70.56  16.8  2 1 10
1.317  71.66  13.5  1 1 30
1.214  78.87  11.6  1 2 20



Record 8
Calculated powder diffraction line list
Compound: LaPH2Pd2
Radiation: λ = 1.5418 Å (Cu Kα)
Structure: DFT lattice parameters and positions (PBE)
Lines closer than 0.1° are merged.

Structure:
```
data_LaPH2Pd2
_space_group_name_H-M_alt 'P 1 21/m 1'
_space_group_IT_number 11
_cell_length_a 5.829
_cell_length_b 5.511
_cell_length_c 5.949
_cell_angle_alpha 90.00
_cell_angle_beta 103.29
_cell_angle_gamma 90.00
loop_
_space_group_symop_operation_xyz
'x,y,z'
'-x,-y,-z'
'-x,y+1/2,-z'
'x,-y+1/2,z'
loop_
_atom_site_label
_atom_site_type_symbol
_atom_site_fract_x
_atom_site_fract_y
_atom_site_fract_z
La1 La 0.175 0.250 0.267
P1 P 0.306 0.750 0.113
H1 H 0.131 0.250 0.692
H2 H 0.234 0.750 0.593
Pd1 Pd 0.333 0.002 0.782
```

Principal peaks in the range 2θ from 15° to 90°, by angle:
d_spacing  2θ (°)  I/Imax  (hkl)
3.992  22.27  43.6  0 1 1
3.953  22.49  29.7  1 1 0
3.539  25.16  27.8  1 1 -1
2.895  30.89  83.8  0 0 2
2.837  31.54  33.9  2 0 0
2.816  31.78  44.4  2 0 -1
2.479  36.24  25.9  1 2 0
2.366  38.03  100.0  1 2 -1
2.343  38.41  40.7  2 0 1
2.200  41.03  70.4  1 2 1



Record 9
Calculated powder diffraction line list
Compound: LaPHPt
Radiation: λ = 1.5418 Å (Cu Kα)
Structure: DFT lattice parameters and positions (PBE)
Lines closer than 0.1° are merged.

Structure:
```
data_LaPHPt
_space_group_name_H-M_alt 'P 3 m 1'
_space_group_IT_number 156
_cell_length_a 4.3228
_cell_length_b 4.3228
_cell_length_c 3.9938
_cell_angle_alpha 90.00
_cell_angle_beta 90.00
_cell_angle_gamma 120.00
loop_
_space_group_symop_operation_xyz
'x,y,z'
'-y,x-y,z'
'-x+y,-x,z'
'-y,-x,z'
'-x+y,y,z'
'x,x-y,z'
loop_
_atom_site_label
_atom_site_type_symbol
_atom_site_fract_x
_atom_site_fract_y
_atom_site_fract_z
La1 La 0.0000 0.0000 0.0000
P1 P 0.6667 0.3333 0.4852
H1 H 0.3333 0.6667 0.9856
Pt1 Pt 0.3333 0.6667 0.5088
```

Principal peaks in the range 2θ from 15° to 90°, by angle:
d_spacing  2θ (°)  I/Imax  (hkl)
3.744  23.77  27.9  1 0 0
2.731  32.79  100.0  1 0 1
2.161  41.79  41.6  1 1 0
1.997  45.42  10.8  0 0 2
1.762  51.90  7.4  0 1 2
1.695  54.11  24.5  0 2 1
1.467  63.42  24.0  1 1 2
1.334  70.62  22.2  2 1 1
1.254  75.85  9.1  1 0 3
1.248  76.31  7.1  3 0 0



Record 10
Calculated powder diffraction line list
Compound: LaPHRh2
Radiation: λ = 1.5418 Å (Cu Kα)
Structure: DFT lattice parameters and positions (PBE)
Lines closer than 0.1° are merged.

Structure:
```
data_LaPHRh2
_space_group_name_H-M_alt 'C m c m'
_space_group_IT_number 63
_space_group_name_Hall '-C 2c 2'
_cell_length_a 3.895
_cell_length_b 10.877
_cell_length_c 7.097
_cell_angle_alpha 90.00
_cell_angle_beta 90.00
_cell_angle_gamma 90.00
loop_
_atom_site_label
_atom_site_type_symbol
_atom_site_fract_x
_atom_site_fract_y
_atom_site_fract_z
La1 La 0.000 0.059 0.250
P1 P 0.000 0.221 0.750
H1 H 0.000 0.500 0.000
Rh1 Rh 0.000 0.334 0.055
```

Principal peaks in the range 2θ from 15° to 90°, by angle:
d_spacing  2θ (°)  I/Imax  (hkl)
3.258  27.38  27.3  1 1 1
2.972  30.07  36.3  0 2 2
2.654  33.77  77.0  1 3 0
2.550  35.19  100.0  1 1 2
2.539  35.35  50.5  0 4 1
2.486  36.13  44.7  1 3 1
2.169  41.63  38.8  0 2 3
1.948  46.63  34.4  2 0 0
1.545  59.85  21.5  2 4 1
1.481  62.74  29.3  1 5 3



Record 11
Calculated powder diffraction line list
Compound: LaPH2Ru2
Radiation: λ = 1.5418 Å (Cu Kα)
Structure: DFT lattice parameters and positions (PBE)
Lines closer than 0.1° are merged.

Structure:
```
data_LaPH2Ru2
_space_group_name_H-M_alt 'C m c m'
_space_group_IT_number 63
_space_group_name_Hall '-C 2c 2'
_cell_length_a 5.723
_cell_length_b 10.364
_cell_length_c 5.700
_cell_angle_alpha 90.00
_cell_angle_beta 90.00
_cell_angle_gamma 90.00
loop_
_atom_site_label
_atom_site_type_symbol
_atom_site_fract_x
_atom_site_fract_y
_atom_site_fract_z
La1 La 0.000 0.244 0.250
P1 P 0.000 0.105 0.750
H1 H 0.166 0.405 0.750
Ru1 Ru 0.235 0.500 0.000
```

Principal peaks in the range 2θ from 15° to 90°, by angle:
d_spacing  2θ (°)  I/Imax  (hkl)
5.182  17.11  19.7  0 2 0
3.763  23.64  70.9  1 1 1
2.625  34.16  56.3  1 3 1
2.591  34.62  48.5  0 4 0
2.505  35.85  99.7  2 2 0
2.497  35.96  100.0  0 2 2
2.019  44.89  64.6  2 0 2
1.593  57.90  43.3  2 4 2
1.478  62.88  43.8  0 6 2
1.239  76.99  20.8  2 2 4